No. 1
For Eu2AsAu, a structure optimized by DFT (PBE) gives the theoretical X-ray powder pattern in this record (Cu Kα).
No peak broadening, texture or thermal motion is included.

Structural model:
Cell lengths 7.482, 7.482, 7.482 Å; angles 90.00, 90.00, 90.00 degrees
Space group Fm-3m (No. 225)
Inequivalent atoms, fractional coordinates:
Eu (0.250, 0.250, 0.250) (multiplicity 8)
As (0.000, 0.000, 0.000) (multiplicity 4)
Au (0.000, 0.000, 0.500) (multiplicity 4)

Most intense lines, 2θ from 10° to 90°, in order of rising 2θ:
hkl 1 1 1, 20.6 deg, d = 4.320 Å, I 9.4; hkl 2 2 0, 33.9 deg, d = 2.645 Å, I 100.0; hkl 3 1 1, 40.0 deg, d = 2.256 Å, I 5.6; hkl 4 0 0, 48.7 deg, d = 1.871 Å, I 18.1; hkl 3 3 1, 53.4 deg, d = 1.717 Å, I 2.5; hkl 4 2 2, 60.6 deg, d = 1.527 Å, I 37.4; hkl 5 1 1, 64.7 deg, d = 1.440 Å, I 1.9; hkl 4 4 0, 71.3 deg, d = 1.323 Å, I 11.7; hkl 5 3 1, 75.1 deg, d = 1.265 Å, I 1.9; hkl 6 2 0, 81.3 deg, d = 1.183 Å, I 16.6

No. 2
For K2AsAuF6, a structure optimized by DFT (PBE) gives the theoretical X-ray powder pattern in this record (Cu Kα).
No peak broadening, texture or thermal motion is included.

Structural model:
Cell lengths 9.038, 9.038, 9.038 Å; angles 90.00, 90.00, 90.00 degrees
Space group Fm-3m (No. 225)
Inequivalent atoms, fractional coordinates:
K (0.250, 0.250, 0.250) (multiplicity 8)
As (0.000, 0.000, 0.000) (multiplicity 4)
Au (0.000, 0.000, 0.500) (multiplicity 4)
F (0.000, 0.000, 0.227) (multiplicity 24)

Most intense lines, 2θ from 10° to 90°, in order of rising 2θ:
hkl 1 1 1, 17.0 deg, d = 5.218 Å, I 19.9; hkl 2 0 0, 19.6 deg, d = 4.519 Å, I 61.5; hkl 2 2 0, 27.9 deg, d = 3.195 Å, I 100.0; hkl 3 1 1, 32.9 deg, d = 2.725 Å, I 20.1; hkl 4 0 0, 39.9 deg, d = 2.259 Å, I 40.5; hkl 4 2 0, 44.8 deg, d = 2.021 Å, I 28.9; hkl 4 2 2, 49.4 deg, d = 1.845 Å, I 40.1; hkl 4 4 0, 57.7 deg, d = 1.598 Å, I 24.7; hkl 6 2 0, 65.3 deg, d = 1.429 Å, I 19.2; hkl 6 4 2, 79.3 deg, d = 1.208 Å, I 21.8